Starting from DFT lattice parameters and positions (GGA-PBE), the X-ray diffraction stick pattern of U3Si4Ni4 was simulated for Cu Kα X-rays.

Cell and atoms:
```
data_U3Si4Ni4
_chemical_formula_sum 'U6 Si8 Ni8'
_space_group_name_H-M_alt 'I m m m'
_space_group_IT_number 71
_space_group_name_Hall '-I 2 2'
_cell_length_a 3.845
_cell_length_b 3.938
_cell_length_c 23.510
_cell_angle_alpha 90.00
_cell_angle_beta 90.00
_cell_angle_gamma 90.00
loop_
_atom_site_label
_atom_site_fract_x
_atom_site_fract_y
_atom_site_fract_z
U1 0.000 0.000 0.000
U2 0.000 0.500 0.146
Si1 0.000 0.000 0.450
Si2 0.000 0.500 0.303
Ni1 0.000 0.000 0.250
Ni2 0.000 0.500 0.401
```

Principal peaks in the range 10 to 90 degrees two-theta, in order of rising 2θ:
(1 0 1), 23.4°, I = 19.8; (0 1 3), 25.3°, I = 45.7; (1 0 7), 35.5°, I = 45.4; (1 1 4), 36.0°, I = 100.0; (0 1 9), 41.5°, I = 15.1; (0 2 0), 46.1°, I = 19.0; (2 0 0), 47.3°, I = 17.6; (0 1 11), 48.5°, I = 17.8; (1 0 13), 56.2°, I = 14.8; (1 2 7), 59.5°, I = 20.9